Simulated PXRD pattern
Compound: CaTlF3
Radiation: Cu Kα (weighted mean of Kα1 and Kα2)
Structure: a DFT-relaxed cell (GGA-PBE, the Materials Project)
Lines closer than 0.1° are merged.

Main lines, low angle first (10 to 90 degrees two-theta):
| 2θ/deg | intensity | hkl |
| --- | --- | --- |
| 19.7 | 42 | 1 1 0 |
| 28.0 | 100 | 1 1 1 |
| 34.4 | 37 | 0 2 1 |
| 40.0 | 35 | 0 0 2 |
| 44.9 | 23 | 3 1 0 |
| 49.5 | 43 | 3 1 1 |
| 57.8 | 23 | 0 4 0 |
| 61.7 | 10 | 3 3 0 |
| 65.4 | 19 | 3 3 1 |
| 69.1 | 13 | 2 4 -1 |
| 79.5 | 13 | 5 1 1 |
| 79.6 | 9 | 3 1 3 |

Structural model:
Cell lengths 6.381, 6.377, 4.509 Å; angles 90.00, 90.10, 90.00 degrees
Space group Cm (No. 8)
One atom of each set of equivalent atoms:
Ca (0.000, 0.000, 0.000) (multiplicity 2)
Tl (0.007, 0.500, 0.506) (multiplicity 2)
F (0.249, 0.251, 0.996) (multiplicity 4)
F (0.488, 0.500, 0.500) (multiplicity 2)

=====

Simulated PXRD pattern
Compound: BaHBrO
Radiation: Cu Kα (weighted mean of Kα1 and Kα2)
Structure: a DFT-relaxed cell (GGA-PBE, the Materials Project)
Lines closer than 0.1° are merged.

Main lines, low angle first (10 to 90 degrees two-theta):
| 2θ/deg | intensity | hkl |
| --- | --- | --- |
| 20.4 | 58 | 1 0 2 |
| 24.6 | 100 | 1 1 1 |
| 27.9 | 20 | 1 0 3 |
| 28.7 | 93 | 1 1 2 |
| 31.9 | 71 | 2 1 1 |
| 32.5 | 54 | 0 1 3 |
| 35.9 | 30 | 3 0 1 |
| 40.2 | 19 | 2 1 3 |
| 40.6 | 30 | 0 2 0 |
| 51.7 | 18 | 4 1 0 |
| 53.9 | 29 | 3 1 4 |
| 55.3 | 25 | 3 2 1 |

Structural model:
Cell lengths 7.716, 4.446, 10.531 Å; angles 90.00, 90.00, 90.00 degrees
Space group Pnma (No. 62)
One atom of each set of equivalent atoms:
Ba (0.197, 0.250, 0.092) (multiplicity 4)
H (0.234, 0.750, 0.900) (multiplicity 4)
Br (0.031, 0.750, 0.322) (multiplicity 4)
O (0.138, 0.750, 0.961) (multiplicity 4)

=====

Simulated PXRD pattern
Compound: NdSi2Rh
Radiation: Cu Kα (weighted mean of Kα1 and Kα2)
Structure: a DFT-relaxed cell (GGA-PBE, the Materials Project)
Lines closer than 0.1° are merged.

Main lines, low angle first (10 to 90 degrees two-theta):
| 2θ/deg | intensity | hkl |
| --- | --- | --- |
| 21.2 | 22 | 0 4 0 |
| 30.1 | 45 | 0 4 1 |
| 30.3 | 100 | 1 1 1 |
| 33.9 | 67 | 1 3 1 |
| 34.0 | 80 | 1 5 0 |
| 38.7 | 33 | 0 6 1 |
| 42.4 | 36 | 2 0 0 |
| 42.8 | 34 | 0 0 2 |
| 53.8 | 19 | 1 9 0 |
| 55.8 | 38 | 1 5 2 |
| 58.7 | 19 | 2 6 1 |
| 61.8 | 23 | 2 0 2 |

Structural model:
Cell lengths 4.268, 16.735, 4.223 Å; angles 90.00, 90.00, 90.00 degrees
Space group Cmcm (No. 63)
One atom of each set of equivalent atoms:
Nd (0.000, 0.104, 0.250) (multiplicity 4)
Si (0.000, 0.250, 0.750) (multiplicity 4)
Si (0.000, 0.461, 0.250) (multiplicity 4)
Rh (0.000, 0.320, 0.250) (multiplicity 4)

=====

Simulated PXRD pattern
Compound: Ca3Zn2Cu2P4
Radiation: Cu Kα (weighted mean of Kα1 and Kα2)
Structure: a DFT-relaxed cell (GGA-PBE, the Materials Project)
Lines closer than 0.1° are merged.

Main lines, low angle first (10 to 90 degrees two-theta):
| 2θ/deg | intensity | hkl |
| --- | --- | --- |
| 18.1 | 19 | 0 0 3 |
| 26.2 | 15 | 1 0 1 |
| 28.2 | 44 | 0 1 2 |
| 31.4 | 58 | 0 1 3 |
| 35.4 | 95 | 1 0 4 |
| 40.0 | 39 | 1 0 5 |
| 43.0 | 23 | 0 0 7 |
| 44.8 | 100 | 1 1 0 |
| 58.4 | 20 | 0 2 4 |
| 63.9 | 39 | 1 1 7 |
| 76.5 | 17 | 2 1 4 |
| 82.7 | 15 | 3 0 0 |

Structural model:
Cell lengths 4.0422, 4.0422, 14.7115 Å; angles 90.00, 90.00, 120.00 degrees
Space group P-3m1 (No. 164)
One atom of each set of equivalent atoms:
Ca (0.0000, 0.0000, 0.0000) (multiplicity 1)
Ca (0.0000, 0.0000, 0.2680) (multiplicity 2)
Zn (0.3333, 0.6667, 0.4382) (multiplicity 2)
Cu (0.3333, 0.6667, 0.8646) (multiplicity 2)
P (0.3333, 0.6667, 0.1341) (multiplicity 2)
P (0.3333, 0.6667, 0.6106) (multiplicity 2)

=====

Simulated PXRD pattern
Compound: DyB6
Radiation: Cu Kα (weighted mean of Kα1 and Kα2)
Structure: a DFT-relaxed cell (GGA-PBE, the Materials Project)
Lines closer than 0.1° are merged.

Main lines, low angle first (10 to 90 degrees two-theta):
| 2θ/deg | intensity | hkl |
| --- | --- | --- |
| 21.7 | 70 | 1 0 0 |
| 30.9 | 100 | 1 1 0 |
| 38.1 | 42 | 1 1 1 |
| 44.2 | 21 | 2 0 0 |
| 49.8 | 50 | 2 1 0 |
| 54.9 | 29 | 2 1 1 |
| 64.3 | 10 | 2 2 0 |
| 68.8 | 28 | 2 2 1 |
| 73.1 | 20 | 3 1 0 |
| 77.3 | 13 | 3 1 1 |
| 85.5 | 9 | 3 2 0 |
| 89.6 | 19 | 3 2 1 |

Structural model:
Cell lengths 4.095, 4.095, 4.095 Å; angles 90.00, 90.00, 90.00 degrees
Space group Pm-3m (No. 221)
One atom of each set of equivalent atoms:
Dy (0.000, 0.000, 0.000) (multiplicity 1)
B (0.199, 0.500, 0.500) (multiplicity 6)

=====

Simulated PXRD pattern
Compound: Mg6ZnB
Radiation: Cu Kα (weighted mean of Kα1 and Kα2)
Structure: a DFT-relaxed cell (GGA-PBE, the Materials Project)
Lines closer than 0.1° are merged.

Main lines, low angle first (10 to 90 degrees two-theta):
| 2θ/deg | intensity | hkl |
| --- | --- | --- |
| 14.2 | 25 | 0 1 1 |
| 18.2 | 21 | 0 0 2 |
| 27.0 | 13 | 1 1 1 |
| 29.6 | 10 | 0 1 3 |
| 31.9 | 13 | 1 2 0 |
| 34.5 | 14 | 0 3 1 |
| 36.8 | 22 | 0 0 4 |
| 37.0 | 100 | 1 2 2 |
| 37.7 | 30 | 1 1 3 |
| 41.8 | 13 | 1 3 1 |
| 46.8 | 18 | 2 0 0 |
| 59.3 | 10 | 0 4 4 |

Structural model:
Cell lengths 3.886, 8.094, 9.770 Å; angles 90.00, 90.00, 90.00 degrees
Space group Amm2 (No. 38)
One atom of each set of equivalent atoms:
Mg (0.000, 0.000, 0.000) (multiplicity 2)
Mg (0.000, 0.178, 0.259) (multiplicity 4)
Mg (0.500, 0.000, 0.768) (multiplicity 2)
Mg (0.500, 0.232, 0.513) (multiplicity 4)
Zn (0.000, 0.000, 0.557) (multiplicity 2)
B (0.500, 0.000, 0.151) (multiplicity 2)

=====

Simulated PXRD pattern
Compound: Cu4PtO5
Radiation: Cu Kα (weighted mean of Kα1 and Kα2)
Structure: a DFT-relaxed cell (GGA-PBE, the Materials Project)
Lines closer than 0.1° are merged.

Main lines, low angle first (10 to 90 degrees two-theta):
| 2θ/deg | intensity | hkl |
| --- | --- | --- |
| 13.5 | 18 | 0 0 2 |
| 15.5 | 14 | 1 0 -1 |
| 17.0 | 18 | 1 0 1 |
| 34.1 | 100 | 2 0 -3 |
| 34.4 | 33 | 2 0 2 |
| 35.3 | 91 | 1 1 1 |
| 43.0 | 37 | 1 1 -4 |
| 56.2 | 61 | 3 1 -2 |
| 61.4 | 17 | 4 0 -1 |
| 62.2 | 17 | 3 1 3 |
| 72.4 | 27 | 4 0 4 |
| 74.5 | 19 | 2 2 -3 |

Structural model:
Cell lengths 6.037, 2.911, 13.234 Å; angles 90.00, 97.01, 90.00 degrees
Space group P2/m (No. 10)
One atom of each set of equivalent atoms:
Cu (0.000, 0.000, 0.000) (multiplicity 1)
Cu (0.098, 0.500, 0.404) (multiplicity 2)
Cu (0.199, 0.000, 0.799) (multiplicity 2)
Cu (0.398, 0.000, 0.598) (multiplicity 2)
Cu (0.500, 0.500, 0.000) (multiplicity 1)
Pt (0.300, 0.500, 0.201) (multiplicity 2)
O (0.004, 0.500, 0.745) (multiplicity 2)
O (0.200, 0.500, 0.048) (multiplicity 2)
O (0.201, 0.500, 0.551) (multiplicity 2)
O (0.395, 0.500, 0.852) (multiplicity 2)
O (0.398, 0.500, 0.355) (multiplicity 2)

=====

Simulated PXRD pattern
Compound: ZrBr
Radiation: Cu Kα (weighted mean of Kα1 and Kα2)
Structure: a DFT-relaxed cell (GGA-PBE, the Materials Project)
Lines closer than 0.1° are merged.

Main lines, low angle first (10 to 90 degrees two-theta):
| 2θ/deg | intensity | hkl |
| --- | --- | --- |
| 18.2 | 18 | 0 0 2 |
| 30.4 | 21 | 2 0 0 |
| 32.5 | 100 | 1 1 -2 |
| 34.1 | 34 | 2 0 1 |
| 36.9 | 36 | 1 1 2 |
| 41.3 | 25 | 2 0 -4 |
| 43.5 | 32 | 1 1 3 |
| 46.6 | 12 | 0 0 5 |
| 51.5 | 13 | 0 2 0 |
| 51.9 | 20 | 3 1 -1 |
| 63.2 | 12 | 2 2 1 |
| 84.9 | 11 | 1 3 -2 |

Structural model:
Cell lengths 6.100, 3.549, 10.113 Å; angles 90.00, 105.45, 90.00 degrees
Space group C2/m (No. 12)
One atom of each set of equivalent atoms:
Zr (0.220, 0.000, 0.121) (multiplicity 4)
Br (0.142, 0.500, 0.316) (multiplicity 4)

=====

Simulated PXRD pattern
Compound: Sm3InN
Radiation: Cu Kα (weighted mean of Kα1 and Kα2)
Structure: a DFT-relaxed cell (GGA-PBE, the Materials Project)
Lines closer than 0.1° are merged.

Main lines, low angle first (10 to 90 degrees two-theta):
| 2θ/deg | intensity | hkl |
| --- | --- | --- |
| 17.9 | 2 | 1 0 0 |
| 31.3 | 100 | 1 1 1 |
| 36.2 | 56 | 2 0 0 |
| 40.7 | 1 | 2 1 0 |
| 52.2 | 39 | 2 2 0 |
| 55.6 | 1 | 3 0 0 |
| 62.1 | 42 | 3 1 1 |
| 65.2 | 13 | 2 2 2 |
| 76.9 | 6 | 4 0 0 |
| 85.4 | 18 | 3 3 1 |
| 88.1 | 18 | 4 2 0 |

Structural model:
Cell lengths 4.957, 4.957, 4.957 Å; angles 90.00, 90.00, 90.00 degrees
Space group Pm-3m (No. 221)
One atom of each set of equivalent atoms:
Sm (0.000, 0.000, 0.500) (multiplicity 3)
In (0.500, 0.500, 0.500) (multiplicity 1)
N (0.000, 0.000, 0.000) (multiplicity 1)

=====

Simulated PXRD pattern
Compound: DyGaCo4
Radiation: Cu Kα (weighted mean of Kα1 and Kα2)
Structure: a DFT-relaxed cell (GGA-PBE, the Materials Project)
Lines closer than 0.1° are merged.

Main lines, low angle first (10 to 90 degrees two-theta):
| 2θ/deg | intensity | hkl |
| --- | --- | --- |
| 30.3 | 17 | 0 2 1 |
| 30.6 | 68 | 1 1 1 |
| 36.0 | 27 | 1 3 0 |
| 36.7 | 17 | 2 0 0 |
| 41.6 | 26 | 0 4 0 |
| 42.4 | 31 | 2 2 0 |
| 42.7 | 100 | 1 3 1 |
| 43.3 | 43 | 2 0 1 |
| 45.2 | 40 | 0 0 2 |
| 63.1 | 15 | 0 4 2 |
| 63.7 | 18 | 2 2 2 |
| 70.3 | 22 | 3 3 1 |

Structural model:
Cell lengths 4.894, 8.686, 4.013 Å; angles 90.00, 90.00, 90.00 degrees
Space group Cmmm (No. 65)
One atom of each set of equivalent atoms:
Dy (0.000, 0.000, 0.000) (multiplicity 2)
Ga (0.000, 0.500, 0.500) (multiplicity 2)
Co (0.000, 0.316, 0.000) (multiplicity 4)
Co (0.250, 0.250, 0.500) (multiplicity 4)

=====

Simulated PXRD pattern
Compound: NdIn3Pt
Radiation: Cu Kα (weighted mean of Kα1 and Kα2)
Structure: a DFT-relaxed cell (GGA-PBE, the Materials Project)
Lines closer than 0.1° are merged.

Main lines, low angle first (10 to 90 degrees two-theta):
| 2θ/deg | intensity | hkl |
| --- | --- | --- |
| 18.0 | 23 | 2 0 0 |
| 25.5 | 13 | 2 2 0 |
| 31.4 | 18 | 2 2 2 |
| 32.7 | 100 | 3 2 0 |
| 34.0 | 46 | 3 2 1 |
| 36.4 | 34 | 4 0 0 |
| 37.6 | 14 | 4 1 0 |
| 40.9 | 31 | 4 2 0 |
| 45.0 | 48 | 4 2 2 |
| 57.6 | 16 | 5 3 2 |
| 62.4 | 26 | 6 2 2 |
| 83.0 | 18 | 6 6 0 |

Structural model:
Cell lengths 9.867, 9.867, 9.867 Å; angles 90.00, 90.00, 90.00 degrees
Space group Pm-3n (No. 223)
One atom of each set of equivalent atoms:
Nd (0.000, 0.000, 0.000) (multiplicity 2)
Nd (0.000, 0.250, 0.500) (multiplicity 6)
In (0.000, 0.316, 0.153) (multiplicity 24)
Pt (0.250, 0.250, 0.250) (multiplicity 8)

=====

Simulated PXRD pattern
Compound: SbH3CS2N
Radiation: Cu Kα (weighted mean of Kα1 and Kα2)
Structure: a DFT-relaxed cell (GGA-PBE, the Materials Project)
Lines closer than 0.1° are merged.

Main lines, low angle first (10 to 90 degrees two-theta):
| 2θ/deg | intensity | hkl |
| --- | --- | --- |
| 11.8 | 55 | 0 1 0 |
| 13.1 | 61 | 0 1 -1 |
| 14.3 | 100 | 1 0 -1 |
| 14.7 | 76 | 0 1 1 |
| 16.3 | 47 | -1 1 1 |
| 20.5 | 32 | -1 1 2 |
| 23.2 | 30 | 1 1 -2 |
| 23.8 | 58 | 0 2 0 |
| 26.0 | 59 | 2 -1 0 |
| 29.8 | 57 | 0 0 4 |
| 30.7 | 43 | 0 1 -4 |
| 40.9 | 29 | 0 2 4 |

Structural model:
Cell lengths 6.970, 7.927, 12.195 Å; angles 94.59, 97.52, 107.87 degrees
Space group P-1 (No. 2)
One atom of each set of equivalent atoms:
Sb (0.018, 0.198, 0.375) (multiplicity 2)
Sb (0.376, 0.792, 0.845) (multiplicity 2)
H (0.032, 0.214, 0.968) (multiplicity 2)
H (0.046, 0.206, 0.825) (multiplicity 2)
H (0.229, 0.182, 0.635) (multiplicity 2)
H (0.387, 0.170, 0.901) (multiplicity 2)
H (0.390, 0.795, 0.418) (multiplicity 2)
H (0.421, 0.783, 0.277) (multiplicity 2)
C (0.182, 0.451, 0.918) (multiplicity 2)
C (0.353, 0.545, 0.341) (multiplicity 2)
S (0.025, 0.142, 0.631) (multiplicity 2)
S (0.034, 0.819, 0.838) (multiplicity 2)
S (0.341, 0.824, 0.632) (multiplicity 2)
S (0.433, 0.860, 0.103) (multiplicity 2)
N (0.084, 0.284, 0.903) (multiplicity 2)
N (0.392, 0.715, 0.347) (multiplicity 2)

=====

Simulated PXRD pattern
Compound: SmLuMg2
Radiation: Cu Kα (weighted mean of Kα1 and Kα2)
Structure: a DFT-relaxed cell (GGA-PBE, the Materials Project)
Lines closer than 0.1° are merged.

Main lines, low angle first (10 to 90 degrees two-theta):
| 2θ/deg | intensity | hkl |
| --- | --- | --- |
| 20.3 | 1 | 1 1 1 |
| 23.5 | 64 | 2 0 0 |
| 33.5 | 100 | 2 2 0 |
| 41.3 | 20 | 2 2 2 |
| 48.1 | 18 | 4 0 0 |
| 54.2 | 27 | 4 2 0 |
| 59.9 | 38 | 4 2 2 |
| 70.4 | 12 | 4 4 0 |
| 75.3 | 13 | 6 0 0 |
| 80.2 | 16 | 6 2 0 |
| 85.0 | 8 | 6 2 2 |
| 89.8 | 4 | 4 4 4 |

Structural model:
Cell lengths 7.569, 7.569, 7.569 Å; angles 90.00, 90.00, 90.00 degrees
Space group Fm-3m (No. 225)
One atom of each set of equivalent atoms:
Sm (0.000, 0.000, 0.000) (multiplicity 4)
Lu (0.000, 0.000, 0.500) (multiplicity 4)
Mg (0.250, 0.250, 0.250) (multiplicity 8)